The following is a calculated PXRD pattern of KMgIn2Cl8. It was derived from a PBE-relaxed structure, using λ = 1.5418 Å (Cu Kα).
Intensities are scaled so that the largest is 100.

The 10 most intense peaks (2θ from 10° to 90°), by intensity:
| Position (°2θ) | d_spacing | intensity |
| --- | --- | --- |
| 19.97 | 4.447 | 100 |
| 16.63 | 5.332 | 77 |
| 26.76 | 3.332 | 58 |
| 28.79 | 3.101 | 47 |
| 47.71 | 1.906 | 47 |
| 47.26 | 1.923 | 46 |
| 33.61 | 2.666 | 43 |
| 28.46 | 3.136 | 40 |
| 31.67 | 2.825 | 39 |
| 43.47 | 2.082 | 30 |

Structural model:
Unit cell a=10.0665 b=10.0665 c=10.0665 alpha=38.65 beta=38.65 gamma=38.65
Sites, in units of the cell vectors:
K 0.0000 0.0000 0.0000
Mg 0.5000 0.5000 0.5000
In 0.2360 0.2360 0.2360
In 0.7640 0.7640 0.7640
Cl 0.1581 0.7753 0.4087
Cl 0.2247 0.5913 0.8419
Cl 0.3233 0.3233 0.3233
Cl 0.4087 0.1581 0.7753
Cl 0.5913 0.8419 0.2247
Cl 0.6767 0.6767 0.6767
Cl 0.7753 0.4087 0.1581
Cl 0.8419 0.2247 0.5913

---

The following is a calculated PXRD pattern of K3MgIn3Cl8. It was derived from a PBE-relaxed structure, using λ = 1.5418 Å (Cu Kα).
Intensities are scaled so that the largest is 100.

The 10 most intense peaks (2θ from 10° to 90°), by intensity:
| Position (°2θ) | d_spacing | intensity |
| --- | --- | --- |
| 28.27 | 3.157 | 100 |
| 12.17 | 7.270 | 35 |
| 40.22 | 2.242 | 32 |
| 40.59 | 2.223 | 32 |
| 23.44 | 3.796 | 18 |
| 50.19 | 1.818 | 14 |
| 24.49 | 3.635 | 14 |
| 14.03 | 6.315 | 13 |
| 30.82 | 2.901 | 13 |
| 37.03 | 2.427 | 11 |

Structural model:
Unit cell a=8.9700 b=8.9700 c=8.9700 alpha=59.42 beta=59.42 gamma=59.42
Sites, in units of the cell vectors:
K 0.0000 0.5000 0.5000
K 0.5000 0.0000 0.5000
K 0.5000 0.5000 0.0000
Mg 0.0000 0.0000 0.0000
In 0.0000 0.0000 0.5000
In 0.0000 0.5000 0.0000
In 0.5000 0.0000 0.0000
Cl 0.2041 0.2041 0.7933
Cl 0.2041 0.7933 0.2041
Cl 0.2067 0.7959 0.7959
Cl 0.2530 0.2530 0.2530
Cl 0.7470 0.7470 0.7470
Cl 0.7933 0.2041 0.2041
Cl 0.7959 0.2067 0.7959
Cl 0.7959 0.7959 0.2067

---

The following is a calculated PXRD pattern of KNpIn2Cl6. It was derived from a PBE-relaxed structure, using λ = 1.5418 Å (Cu Kα).
Intensities are scaled so that the largest is 100.

The 10 most intense peaks (2θ from 10° to 90°), by intensity:
| Position (°2θ) | d_spacing | intensity |
| --- | --- | --- |
| 22.67 | 3.922 | 100 |
| 35.27 | 2.545 | 96 |
| 22.03 | 4.035 | 94 |
| 13.76 | 6.434 | 82 |
| 31.82 | 2.812 | 64 |
| 39.43 | 2.286 | 55 |
| 39.81 | 2.264 | 52 |
| 15.76 | 5.625 | 50 |
| 26.34 | 3.383 | 49 |
| 13.24 | 6.688 | 27 |

Structural model:
Unit cell a=8.0773 b=8.0773 c=8.0773 alpha=58.10 beta=58.10 gamma=58.10
Sites, in units of the cell vectors:
K 0.0000 0.0000 0.0000
Np 0.5079 0.5079 0.5079
In 0.2102 0.2102 0.2102
In 0.7131 0.7131 0.7131
Cl 0.1768 0.7614 0.3742
Cl 0.3199 0.6190 0.8547
Cl 0.3742 0.1768 0.7614
Cl 0.6190 0.8547 0.3199
Cl 0.7614 0.3742 0.1768
Cl 0.8547 0.3199 0.6190

---

The following is a calculated PXRD pattern of K2PmInCl6. It was derived from a PBE-relaxed structure, using λ = 1.5418 Å (Cu Kα).
Intensities are scaled so that the largest is 100.

The 10 most intense peaks (2θ from 10° to 90°), by intensity:
| Position (°2θ) | d_spacing | intensity |
| --- | --- | --- |
| 15.80 | 5.610 | 100 |
| 35.17 | 2.552 | 67 |
| 21.94 | 4.052 | 66 |
| 22.88 | 3.888 | 48 |
| 31.90 | 2.805 | 47 |
| 40.18 | 2.244 | 41 |
| 39.62 | 2.275 | 39 |
| 26.44 | 3.371 | 34 |
| 46.74 | 1.943 | 22 |
| 36.40 | 2.469 | 18 |

Structural model:
Unit cell a=8.1184 b=8.1184 c=8.1184 alpha=57.22 beta=57.22 gamma=57.22
Sites, in units of the cell vectors:
K 0.0000 0.0000 0.0000
K 0.4898 0.4898 0.4898
Pm 0.6980 0.6980 0.6980
In 0.2093 0.2093 0.2093
Cl 0.0437 0.4496 0.8092
Cl 0.3456 0.8955 0.5956
Cl 0.4496 0.8092 0.0437
Cl 0.5956 0.3456 0.8955
Cl 0.8092 0.0437 0.4496
Cl 0.8955 0.5956 0.3456

---

The following is a calculated PXRD pattern of KPuInCl5. It was derived from a PBE-relaxed structure, using λ = 1.5418 Å (Cu Kα).
Intensities are scaled so that the largest is 100.

The 10 most intense peaks (2θ from 10° to 90°), by intensity:
| Position (°2θ) | d_spacing | intensity |
| --- | --- | --- |
| 20.56 | 4.320 | 100 |
| 22.90 | 3.884 | 51 |
| 21.64 | 4.107 | 49 |
| 33.80 | 2.652 | 41 |
| 13.09 | 6.764 | 41 |
| 13.77 | 6.429 | 36 |
| 36.08 | 2.489 | 34 |
| 17.69 | 5.014 | 28 |
| 34.49 | 2.601 | 27 |
| 33.92 | 2.643 | 25 |

Structural model:
Unit cell a=7.4563 b=8.3171 c=10.6148 alpha=109.95 beta=90.18 gamma=113.24
Sites, in units of the cell vectors:
K 0.2030 0.3436 0.3429
K 0.7970 0.6564 0.6571
Pu 0.5000 0.0000 0.0000
Pu 0.5000 0.0000 0.5000
In 0.1687 0.3745 0.8346
In 0.8313 0.6255 0.1654
Cl 0.1263 0.7420 0.8881
Cl 0.1333 0.7344 0.4686
Cl 0.3839 0.9974 0.2490
Cl 0.3906 0.2912 0.5972
Cl 0.4135 0.3005 0.0557
Cl 0.5865 0.6995 0.9443
Cl 0.6094 0.7088 0.4028
Cl 0.6161 0.0026 0.7510
Cl 0.8667 0.2656 0.5314
Cl 0.8737 0.2580 0.1119

---

The following is a calculated PXRD pattern of KInRhCl6. It was derived from a PBE-relaxed structure, using λ = 1.5418 Å (Cu Kα).
Intensities are scaled so that the largest is 100.

The 10 most intense peaks (2θ from 10° to 90°), by intensity:
| Position (°2θ) | d_spacing | intensity |
| --- | --- | --- |
| 12.69 | 6.976 | 100 |
| 20.37 | 4.359 | 58 |
| 38.22 | 2.355 | 41 |
| 30.57 | 2.925 | 41 |
| 19.62 | 4.524 | 32 |
| 28.95 | 3.084 | 26 |
| 36.29 | 2.475 | 25 |
| 47.32 | 1.921 | 22 |
| 15.38 | 5.763 | 17 |
| 37.42 | 2.403 | 15 |

Structural model:
Unit cell a=6.5104 b=6.5104 c=6.9827 alpha=91.26 beta=91.26 gamma=117.66
Sites, in units of the cell vectors:
K 0.0000 0.0000 0.0000
In 0.6672 0.3328 0.5000
Rh 0.3278 0.6722 0.5000
Cl 0.0053 0.6466 0.3103
Cl 0.3497 0.3829 0.3036
Cl 0.3534 0.9947 0.6897
Cl 0.6171 0.6503 0.6964
Cl 0.6244 0.0105 0.2748
Cl 0.9895 0.3756 0.7252